No. 1
Starting from a structure optimized by DFT (PBE), the powder X-ray diffraction pattern of GaCo4Ge3 was simulated for Cu Kα, 1.54184 Å.
Intensities are scaled so that the largest is 100.

Main lines, by angle (15 to 90 degrees two-theta):
33.60°, intensity 22
43.42°, intensity 100
43.86°, intensity 89
47.55°, intensity 24
48.15°, intensity 48
48.36°, intensity 27

Cell and atoms:
```
GaCo4Ge3
1.0
3.2602 1.8823 2.7099
-3.2602 1.8823 2.7099
0.0000 -3.7646 2.7099
Ga Co Ge
1 4 3
Cartesian
0.0000 0.0000 0.0000
-1.6216 -1.9565 3.6132
0.0000 0.0000 2.4412
-0.8836 2.3826 3.6132
2.5052 -0.4261 3.6132
-1.6549 0.2657 4.4360
0.5973 -1.5661 4.4360
1.0576 1.3003 4.4360
```

No. 2
Starting from a structure optimized by DFT (PBE), the powder X-ray diffraction pattern of Ga3Co4Ge was simulated for Cu Kα, 1.54184 Å.
Intensities are scaled so that the largest is 100.

Main lines, by angle (15 to 90 degrees two-theta):
38.75°, intensity 21
43.32°, intensity 100
43.76°, intensity 91
47.64°, intensity 24
47.84°, intensity 51
48.45°, intensity 25

Cell and atoms:
```
Ga3Co4Ge
1.0
3.3062 1.9088 2.6519
-3.3062 1.9088 2.6519
0.0000 -3.8177 2.6519
Ga Co Ge
3 4 1
Cartesian
-1.6300 0.2463 2.6519
0.6017 -1.5348 2.6519
1.0283 1.2885 2.6519
0.0000 0.0000 0.6706
-0.9381 -1.3694 4.5352
-0.7169 1.4971 4.5352
1.6549 -0.1277 4.5352
0.0000 0.0000 6.2732
```

No. 3
Starting from a structure optimized by DFT (PBE), the powder X-ray diffraction pattern of Mn4Ga3Co8Ge was simulated for Cu Kα, 1.54184 Å.
Intensities are scaled so that the largest is 100.

Main lines, by angle (15 to 90 degrees two-theta):
26.99°, intensity 1
44.80°, intensity 100
53.09°, intensity 1
65.22°, intensity 15
82.61°, intensity 30

Cell and atoms:
```
Mn4Ga3Co8Ge
1.0
2.0234 1.1682 13.2069
-2.0234 1.1682 13.2069
0.0000 -2.3364 13.2069
Mn Ga Co Ge
4 3 8 1
Cartesian
0.0000 0.0000 4.9296
0.0000 0.0000 14.8534
0.0000 0.0000 24.7673
0.0000 0.0000 34.6911
0.0000 0.0000 0.0000
0.0000 0.0000 9.9095
0.0000 0.0000 29.7112
0.0000 0.0000 2.4883
0.0000 0.0000 7.4040
0.0000 0.0000 12.3814
0.0000 0.0000 17.3498
0.0000 0.0000 22.2709
0.0000 0.0000 27.2393
0.0000 0.0000 32.2167
0.0000 0.0000 37.1324
0.0000 0.0000 19.8104
```

No. 4
Starting from a structure optimized by DFT (PBE), the powder X-ray diffraction pattern of Zr6Ga2CoH10 was simulated for Cu Kα, 1.54184 Å.
Intensities are scaled so that the largest is 100.

Main lines, by angle (15 to 90 degrees two-theta):
33.39°, intensity 100
33.97°, intensity 59
35.85°, intensity 66
38.69°, intensity 46
42.49°, intensity 27
63.59°, intensity 30

Cell and atoms:
```
Zr6Ga2CoH10
1.0
8.0613 0.0000 0.0000
-4.0306 6.9813 0.0000
0.0000 0.0000 7.1925
Zr Ga Co H
12 4 2 20
Cartesian
-2.9753 5.1534 0.0000
-2.9753 5.1534 3.5962
-1.3355 2.9618 1.7981
1.0553 1.8279 0.0000
1.0553 1.8279 3.5962
-0.7979 6.6569 1.7981
3.2327 0.3243 5.3944
2.1334 4.3438 1.7981
2.6951 4.0195 5.3944
5.9506 0.0000 0.0000
5.9506 0.0000 3.5962
6.1640 2.6375 5.3944
0.0000 4.6542 3.9653
0.0000 4.6542 6.8234
4.0306 2.3271 0.3691
4.0306 2.3271 3.2271
0.0000 0.0000 1.7981
0.0000 0.0000 5.3944
0.0000 0.0000 0.0000
0.0000 0.0000 3.5962
-1.1359 1.9674 0.0000
-1.1359 1.9674 3.5962
-1.9074 4.9506 1.7981
-0.0112 1.6929 5.3944
-2.5589 6.1446 5.3944
1.4717 0.8367 1.7981
2.2718 0.0000 0.0000
2.2718 0.0000 3.5962
0.6970 2.8541 1.7981
2.1232 2.0307 5.3944
1.2104 6.1578 1.7981
5.2410 0.8234 5.3944
2.8947 5.0138 0.0000
2.8947 5.0138 3.5962
2.5702 6.1251 5.3944
4.0194 5.2884 1.7981
6.6008 0.8562 1.7981
4.7276 4.1271 5.3944
```

No. 5
Starting from a structure optimized by DFT (PBE), the powder X-ray diffraction pattern of Hf6Ga2Co was simulated for Cu Kα, 1.54184 Å.
Intensities are scaled so that the largest is 100.

Main lines, by angle (15 to 90 degrees two-theta):
35.29°, intensity 75
35.42°, intensity 100
37.93°, intensity 57
40.21°, intensity 28
66.74°, intensity 28
66.97°, intensity 24

Cell and atoms:
```
Hf6Ga2Co
1.0
7.7689 0.0000 0.0000
-3.8845 6.7281 0.0000
0.0000 0.0000 3.3447
Hf Ga Co
6 2 1
Cartesian
-0.9667 1.6744 0.0000
-2.3230 4.0236 1.6724
1.9334 0.0000 0.0000
1.5614 2.7045 1.6724
4.6460 0.0000 1.6724
2.9177 5.0537 0.0000
0.0000 4.4854 0.0000
3.8845 2.2427 0.0000
0.0000 0.0000 1.6724
```

No. 6
Starting from a structure optimized by DFT (PBE), the powder X-ray diffraction pattern of HfGaCo was simulated for Cu Kα, 1.54184 Å.
Intensities are scaled so that the largest is 100.

Main lines, by angle (15 to 90 degrees two-theta):
35.72°, intensity 56
38.88°, intensity 75
39.01°, intensity 36
41.83°, intensity 48
42.19°, intensity 100
42.68°, intensity 49

Cell and atoms:
```
HfGaCo
1.0
8.1831 0.0000 0.0000
0.0000 2.5423 4.3378
0.0000 -2.5423 4.3378
Hf Ga Co
4 4 4
Cartesian
1.4782 0.0000 0.0000
2.3619 0.0000 2.8513
5.8212 0.0000 2.8513
6.7050 0.0000 0.0000
0.0000 0.0000 4.3878
4.0916 -1.2749 5.0518
4.0916 1.2749 5.0518
4.0916 0.0000 7.2248
0.0000 -1.2928 2.2199
0.0000 1.2928 2.2199
2.0738 0.0000 5.7339
6.1093 0.0000 5.7339
```

No. 7
Starting from a structure optimized by DFT (PBE), the powder X-ray diffraction pattern of HfGaCo was simulated for Cu Kα, 1.54184 Å.
Intensities are scaled so that the largest is 100.

Main lines, by angle (15 to 90 degrees two-theta):
25.60°, intensity 25
37.69°, intensity 100
39.56°, intensity 39
40.66°, intensity 59
45.13°, intensity 30
62.34°, intensity 24

Cell and atoms:
```
HfGaCo
1.0
6.9601 0.0000 0.0000
-3.4800 6.0276 0.0000
0.0000 0.0000 3.2796
Hf Ga Co
3 3 3
Cartesian
-2.0827 3.6074 0.0000
1.3973 2.4202 0.0000
4.1655 0.0000 0.0000
-0.9170 1.5883 1.6398
1.8340 0.0000 1.6398
2.5630 4.4393 1.6398
0.0000 0.0000 0.0000
0.0000 4.0184 1.6398
3.4800 2.0092 1.6398
```

No. 8
Starting from a structure optimized by DFT (PBE), the powder X-ray diffraction pattern of Hf6Ga16Co7 was simulated for Cu Kα, 1.54184 Å.
Intensities are scaled so that the largest is 100.

Main lines, by angle (15 to 90 degrees two-theta):
32.49°, intensity 21
36.65°, intensity 33
38.96°, intensity 100
42.57°, intensity 89
45.29°, intensity 24
65.99°, intensity 26

Cell and atoms:
```
Hf6Ga16Co7
1.0
0.0000 6.0064 6.0064
6.0064 0.0000 6.0064
6.0064 6.0064 0.0000
Hf Ga Co
6 16 7
Cartesian
6.0064 6.0064 2.3437
6.0064 2.3437 6.0064
9.6691 6.0064 6.0064
2.3437 6.0064 6.0064
6.0064 9.6691 6.0064
6.0064 6.0064 9.6691
7.4556 4.5572 4.5572
1.9222 1.9222 1.9222
4.0842 4.0842 1.9222
4.0842 1.9222 4.0842
4.5572 4.5572 4.5572
7.4556 7.4556 4.5572
7.4556 4.5572 7.4556
10.0906 7.9285 7.9285
1.9222 4.0842 4.0842
4.5572 7.4556 4.5572
4.5572 4.5572 7.4556
7.4556 7.4556 7.4556
7.9285 10.0906 7.9285
7.9285 7.9285 10.0906
10.0906 10.0906 10.0906
4.5572 7.4556 7.4556
3.0032 3.0032 0.0000
3.0032 0.0000 3.0032
6.0064 3.0032 3.0032
0.0000 3.0032 3.0032
3.0032 6.0064 3.0032
3.0032 3.0032 6.0064
6.0064 6.0064 6.0064
```